Structure and simulated powder diffractogram of AlMoPbO6 (a cell relaxed with GGA+U; a wavelength of 1.5418 Å).
No peak broadening, texture or thermal motion is included.

Top 8 peaks for 2θ = 10–90°, by angle:
| 2theta | I_rel |
| --- | --- |
| 19.92 | 25 |
| 26.91 | 100 |
| 34.87 | 27 |
| 41.73 | 11 |
| 44.59 | 24 |
| 51.20 | 30 |
| 57.82 | 24 |
| 59.73 | 10 |

Structure:
```
AlMoPbO6
1.0
5.146 0.000 0.000
-2.573 4.456 0.000
0.000 0.000 4.953
Al Mo Pb O
1 1 1 6
direct
0.000 0.000 0.000 Al
0.333 0.667 0.000 Mo
0.667 0.333 0.500 Pb
0.040 0.329 0.212 O
0.040 0.711 0.788 O
0.289 0.329 0.788 O
0.289 0.960 0.212 O
0.671 0.711 0.212 O
0.671 0.960 0.788 O
```